(1)
Calculated X-ray diffraction stick pattern
Compound: YZnI2O
Radiation: Cu Kα (weighted mean of Kα1 and Kα2)
Structure: a structure optimized by DFT (PBE)

Top 6 peaks for 2θ = 10–90°, by angle:
21.29 deg, I 36
28.67 deg, I 100
29.49 deg, I 62
35.99 deg, I 37
41.00 deg, I 37
52.81 deg, I 35

Structural model:
```
YZnI2O
1.0
6.2270 0.0000 0.0000
0.0000 6.2270 0.0000
0.0000 0.0000 4.1741
Y Zn I O
1 1 2 1
direct
0.0000 0.0000 0.0000
0.5000 0.5000 0.5000
0.0000 0.5000 0.0000
0.5000 0.0000 0.0000
0.0000 0.0000 0.5000
```

(2)
Calculated X-ray diffraction stick pattern
Compound: CeHF
Radiation: Cu Kα (weighted mean of Kα1 and Kα2)
Structure: a structure optimized by DFT (PBE)

Top 6 peaks for 2θ = 10–90°, by angle:
24.42 deg, I 100
32.23 deg, I 81
44.88 deg, I 31
44.97 deg, I 27
47.59 deg, I 25
58.52 deg, I 34

Structural model:
```
CeHF
1.0
0.0000 2.7070 6.0655
2.6977 0.0000 6.0655
2.6977 2.7070 0.0000
Ce H F
2 2 2
direct
0.1364 0.1364 0.8636
0.8636 0.8636 0.1364
0.2500 0.2500 0.2500
0.7500 0.7500 0.7500
0.0000 0.0000 0.5000
0.5000 0.5000 0.0000
```

(3)
Calculated X-ray diffraction stick pattern
Compound: BaCd3Ge2
Radiation: Cu Kα (weighted mean of Kα1 and Kα2)
Structure: a structure optimized by DFT (PBE)

Top 6 peaks for 2θ = 10–90°, by angle:
11.62 deg, I 19
28.97 deg, I 20
31.31 deg, I 100
33.90 deg, I 64
39.06 deg, I 40
41.98 deg, I 32

Structural model:
```
BaCd3Ge2
1.0
8.7814 -2.3063 0.0000
8.7814 2.3063 0.0000
-3.7491 0.0000 7.6172
Ba Cd Ge
2 6 4
direct
0.1483 0.1483 0.0620
0.8517 0.8517 0.9380
0.0457 0.0457 0.3781
0.3162 0.3162 0.5618
0.4010 0.4010 0.3167
0.5990 0.5990 0.6833
0.6838 0.6838 0.4382
0.9543 0.9543 0.6219
0.1984 0.1984 0.6994
0.4864 0.4864 0.8359
0.5136 0.5136 0.1641
0.8016 0.8016 0.3006
```

(4)
Calculated X-ray diffraction stick pattern
Compound: Y2Ho3Se8
Radiation: Cu Kα (weighted mean of Kα1 and Kα2)
Structure: a structure optimized by DFT (PBE)

Top 6 peaks for 2θ = 10–90°, by angle:
13.16 deg, I 42
26.75 deg, I 71
33.70 deg, I 100
34.11 deg, I 49
40.49 deg, I 89
44.89 deg, I 59

Structural model:
```
Y2Ho3Se8
1.0
7.1290 -4.0889 0.0000
7.1290 4.0889 0.0000
-2.3110 0.0000 6.5727
Y Ho Se
2 3 8
direct
0.2425 0.2425 0.1629
0.7575 0.7575 0.8371
0.2390 0.7610 0.5000
0.5000 0.5000 0.0000
0.7610 0.2390 0.5000
0.1199 0.1199 0.4101
0.1378 0.6169 0.0867
0.3820 0.3820 0.5778
0.3831 0.8622 0.9133
0.6169 0.1378 0.0867
0.6180 0.6180 0.4222
0.8622 0.3831 0.9133
0.8801 0.8801 0.5899
```

Please write out number 1 again, unchanged.
Calculated X-ray diffraction stick pattern
Compound: YZnI2O
Radiation: Cu Kα (weighted mean of Kα1 and Kα2)
Structure: a structure optimized by DFT (PBE)

Top 6 peaks for 2θ = 10–90°, by angle:
21.29 deg, I 36
28.67 deg, I 100
29.49 deg, I 62
35.99 deg, I 37
41.00 deg, I 37
52.81 deg, I 35

Structural model:
```
YZnI2O
1.0
6.2270 0.0000 0.0000
0.0000 6.2270 0.0000
0.0000 0.0000 4.1741
Y Zn I O
1 1 2 1
direct
0.0000 0.0000 0.0000
0.5000 0.5000 0.5000
0.0000 0.5000 0.0000
0.5000 0.0000 0.0000
0.0000 0.0000 0.5000
```